Diffraction record for AlFe2S4. The powder X-ray diffraction pattern is calculated, not measured: it uses the PBE geometry in the Materials Project and λ = 1.5418 Å (Cu Kα).
Neutral-atom scattering factors, no anomalous dispersion.

Peak list (12 most intense, 10° ≤ 2θ ≤ 90°, by angle)
2θ = 15.67°, d = 5.656 Å, rel. 797, (0 1 1); 2θ = 30.19°, d = 2.961 Å, rel. 114, (2 1 1); 2θ = 30.78°, d = 2.905 Å, rel. 101, (0 1 3); 2θ = 36.40°, d = 2.468 Å, rel. 1000, (2 2 0); 2θ = 37.56°, d = 2.395 Å, rel. 466, (0 0 4); 2θ = 47.84°, d = 1.901 Å, rel. 119, (2 3 1); 2θ = 52.15°, d = 1.754 Å, rel. 145, (0 4 0); 2θ = 52.70°, d = 1.737 Å, rel. 162, (4 0 0); 2θ = 53.30°, d = 1.719 Å, rel. 594, (2 2 4); 2θ = 66.03°, d = 1.415 Å, rel. 134, (0 4 4); 2θ = 66.50°, d = 1.406 Å, rel. 151, (4 0 4); 2θ = 89.30°, d = 1.097 Å, rel. 118, (4 4 4)

Atomic structure:
a b c (Å): 6.9475 7.0150 9.5797
angles (deg): 90.00 90.00 90.00
Space group Imma (No. 74)
Unique sites:
Al  0.0000  0.0000  0.0000 (multiplicity 4)
Fe  0.0000  0.0000  0.5000 (multiplicity 4)
Fe  0.2500  0.2500  0.2500 (multiplicity 4)
S  0.0000  0.0323  0.2475 (multiplicity 8)
S  0.2432  0.2500  0.0102 (multiplicity 8)